Structure and computed powder X-ray diffraction pattern of Li4V7P6O24 (a cell relaxed with PBE+U; Cu Ka).
Lines closer than 0.1° are merged.

Crystal structure
```
data_Li4V7P6O24
_space_group_name_H-M_alt 'C 1 m 1'
_space_group_IT_number 8
_space_group_name_Hall 'C -2y'
_cell_length_a 11.2441
_cell_length_b 14.0670
_cell_length_c 6.6699
_cell_angle_alpha 90.00
_cell_angle_beta 104.48
_cell_angle_gamma 90.00
loop_
_atom_site_label
_atom_site_type_symbol
_atom_site_fract_x
_atom_site_fract_y
_atom_site_fract_z
_atom_site_occupancy
Li1 Li 0.0000 0.0000 0.0000 1
Li2 Li 0.1477 0.3726 0.9207 1
Li3 Li 0.2974 0.0000 0.8421 1
V1 V 0.1463 0.0000 0.4194 1
V2 V 0.1464 0.3798 0.4195 1
V3 V 0.3126 0.1914 0.2306 1
V4 V 0.4797 0.3081 0.6073 1
P1 P 0.0517 0.1931 0.1322 1
P2 P 0.2406 0.1927 0.7059 1
P3 P 0.3379 0.5000 0.3620 1
P4 P 0.4550 0.0000 0.4759 1
O1 O 0.0895 0.5000 0.6272 1
O2 O 0.1392 0.2834 0.1440 1
O3 O 0.1461 0.1096 0.2028 1
O4 O 0.1456 0.1100 0.6340 1
O5 O 0.1541 0.2836 0.6957 1
O6 O 0.2035 0.5000 0.2101 1
O7 O 0.3170 0.1635 0.9203 1
O8 O 0.3230 0.2120 0.5568 1
O9 O 0.3395 0.4104 0.5002 1
O10 O 0.3502 0.0000 0.5840 1
O11 O 0.4428 0.5000 0.2543 1
O12 O 0.4532 0.0895 0.3375 1
O13 O 0.4693 0.2876 0.2812 1
O14 O 0.4753 0.3352 0.9174 1
```

Main lines, by angle (2θ = 15–90°):
- 18.67°, d = 4.752 Å, intensity 43, hkl 0 2 1
- 20.62°, d = 4.307 Å, intensity 31, hkl 1 3 0
- 23.67°, d = 3.759 Å, intensity 39, hkl 1 3 -1
- 30.46°, d = 2.935 Å, intensity 45, hkl 0 2 2
- 31.16°, d = 2.870 Å, intensity 100, hkl 3 3 0
- 32.88°, d = 2.724 Å, intensity 26, hkl 1 5 0
- 32.98°, d = 2.716 Å, intensity 69, hkl 1 3 -2
- 53.49°, d = 1.713 Å, intensity 30, hkl 3 5 2